NaTmS2O8: computed X-ray powder pattern (a wavelength of 1.5418 Å), based on a cell relaxed with GGA-PBE.
Neutral-atom scattering factors, no anomalous dispersion.

Cell and atoms:
```
data_NaTmS2O8
_chemical_formula_sum 'Na2 Tm2 S4 O16'
_cell_length_a 4.745
_cell_length_b 6.850
_cell_length_c 9.908
_cell_angle_alpha 90.00
_cell_angle_beta 97.26
_cell_angle_gamma 90.00
_space_group_name_H-M_alt 'P 1 21/m 1'
_space_group_IT_number 11
_space_group_name_Hall '-P 2yb'
loop_
_atom_site_label
_atom_site_fract_x
_atom_site_fract_y
_atom_site_fract_z
Na1 0.113 0.250 0.362
Tm1 0.146 0.250 0.826
S1 0.336 0.750 0.396
S2 0.352 0.750 0.929
O1 0.178 0.578 0.329
O2 0.240 0.575 0.853
O3 0.266 0.750 0.070
O4 0.332 0.250 0.053
O5 0.340 0.750 0.543
O6 0.366 0.250 0.638
```

Largest 10 diffraction maxima, low angle first, 15 to 90 degrees two-theta:
d_spacing  intensity  (hkl)
5.620  100  0 1 1
4.050  18  1 0 1
3.744  28  1 1 -1
3.637  71  1 0 -2
3.425  59  0 2 0
2.901  53  1 1 2
2.493  20  1 2 -2
2.225  30  2 1 0
2.072  16  1 0 4
1.859  21  1 3 2

=====

Cs2Sn2PS2: computed X-ray powder pattern (a wavelength of 1.5418 Å), based on a cell relaxed with GGA-PBE.
Neutral-atom scattering factors, no anomalous dispersion.

Cell and atoms:
```
data_Cs2Sn2PS2
_chemical_formula_sum 'Cs2 Sn2 P1 S2'
_cell_length_a 5.279
_cell_length_b 7.550
_cell_length_c 7.620
_cell_angle_alpha 105.93
_cell_angle_beta 109.96
_cell_angle_gamma 91.63
_space_group_name_H-M_alt 'P -1'
_space_group_IT_number 2
_space_group_name_Hall '-P 1'
loop_
_atom_site_label
_atom_site_fract_x
_atom_site_fract_y
_atom_site_fract_z
Cs1 0.122 0.307 0.225
Sn1 0.353 0.108 0.698
P1 0.500 0.000 0.000
S1 0.193 0.807 0.402
```

Largest 10 diffraction maxima, low angle first, 15 to 90 degrees two-theta:
d_spacing  intensity  (hkl)
3.917  65  -1 1 1
3.825  67  1 1 0
3.673  50  0 2 -1
3.454  60  1 -1 1
3.409  100  1 1 -2
2.964  16  0 2 -2
2.847  35  0 2 1
2.638  49  2 0 -1
2.075  14  0 3 1
1.911  23  2 2 0

=====

Li3InPb3: computed X-ray powder pattern (a wavelength of 1.5418 Å), based on a cell relaxed with GGA-PBE.
Neutral-atom scattering factors, no anomalous dispersion.

Cell and atoms:
```
data_Li3InPb3
_chemical_formula_sum 'Li9 In3 Pb9'
_cell_length_a 9.7936
_cell_length_b 9.7936
_cell_length_c 5.9931
_cell_angle_alpha 90.00
_cell_angle_beta 90.00
_cell_angle_gamma 120.00
_space_group_name_H-M_alt 'R 3 m'
_space_group_IT_number 160
_space_group_name_Hall 'R 3 -2"'
loop_
_atom_site_label
_atom_site_fract_x
_atom_site_fract_y
_atom_site_fract_z
Li1 0.0113 0.5056 0.0000
In1 0.0000 0.0000 0.5868
Pb1 0.1721 0.3442 0.8261
```

Largest 10 diffraction maxima, low angle first, 15 to 90 degrees two-theta:
d_spacing  intensity  (hkl)
3.462  100  0 2 1
2.826  14  0 1 2
2.448  84  2 2 0
1.999  27  4 0 1
1.850  10  1 1 3
1.731  13  0 4 2
1.548  33  2 4 1
1.413  26  6 0 0
1.154  15  6 2 1
1.095  10  2 6 2

=====

Pr2Dy5Er2: computed X-ray powder pattern (a wavelength of 1.5418 Å), based on a cell relaxed with GGA-PBE.
Neutral-atom scattering factors, no anomalous dispersion.

Cell and atoms:
```
data_Pr2Dy5Er2
_chemical_formula_sum 'Pr8 Dy20 Er8'
_cell_length_a 16.558
_cell_length_b 6.714
_cell_length_c 11.917
_cell_angle_alpha 90.00
_cell_angle_beta 116.70
_cell_angle_gamma 90.00
_space_group_name_H-M_alt 'C 1 2 1'
_space_group_IT_number 5
_space_group_name_Hall 'C 2y'
loop_
_atom_site_label
_atom_site_fract_x
_atom_site_fract_y
_atom_site_fract_z
Pr1 0.117 0.000 0.118
Pr2 0.138 0.447 0.637
Dy1 0.049 0.263 0.805
Dy2 0.065 0.814 0.806
Dy3 0.112 0.622 0.354
Dy4 0.176 0.125 0.431
Dy5 0.229 0.591 0.992
Er1 0.000 0.527 0.000
Er2 0.000 0.975 0.500
Er3 0.234 0.926 0.727
```

Largest 10 diffraction maxima, low angle first, 15 to 90 degrees two-theta:
d_spacing  intensity  (hkl)
3.349  24  3 1 1
3.092  14  4 0 1
2.927  46  5 1 -1
2.893  50  2 2 -2
2.850  100  4 0 -4
2.839  19  0 2 2
2.803  15  2 2 1
2.753  16  2 0 3
2.681  14  6 0 -1
2.568  17  4 2 -2